# 1
# Sm2Pt5Au5
Calculated X-ray powder pattern, Cu Kα (λ = 1.5418 Å). Input: a structure optimized by DFT (PBE).
Kinematic intensities with the Lorentz-polarization factor, no thermal factor.

Top 10 peaks for 2θ from 10° to 80°, in order of falling intensity:
- 38.3 deg, rel. 100
- 42.9 deg, rel. 37
- 39.5 deg, rel. 35
- 18.7 deg, rel. 31
- 55.9 deg, rel. 17
- 70.8 deg, rel. 17
- 61.9 deg, rel. 17
- 37.8 deg, rel. 17
- 43.0 deg, rel. 16
- 68.4 deg, rel. 14

Structure:
abc: 4.562 5.502 9.488
angles: 90.00 90.00 90.00
Positions (direct):
1 Sm 0.000 0.000 0.000
2 Sm 0.000 0.500 0.500
3 Pt 0.500 0.000 0.500
4 Pt 0.500 0.250 0.253
5 Pt 0.500 0.250 0.747
6 Pt 0.500 0.750 0.253
7 Pt 0.500 0.750 0.747
8 Au 0.000 0.000 0.331
9 Au 0.000 0.000 0.669
10 Au 0.000 0.500 0.172
11 Au 0.000 0.500 0.828
12 Au 0.500 0.500 0.000



# 2
# Sm8Te4Pt3Au
Calculated X-ray powder pattern, Cu Kα (λ = 1.5418 Å). Input: a structure optimized by DFT (PBE).
Kinematic intensities with the Lorentz-polarization factor, no thermal factor.

Top 10 peaks for 2θ from 10° to 80°, in order of falling intensity:
- 29.1 deg, rel. 100
- 40.4 deg, rel. 37
- 42.8 deg, rel. 36
- 52.6 deg, rel. 19
- 70.0 deg, rel. 16
- 66.6 deg, rel. 14
- 11.8 deg, rel. 12
- 60.3 deg, rel. 11
- 76.8 deg, rel. 11
- 48.5 deg, rel. 6

Structure:
abc: 8.957 8.957 8.957
angles: 56.31 56.31 56.31
Positions (direct):
1 Sm 0.231 0.744 0.744
2 Sm 0.238 0.238 0.238
3 Sm 0.256 0.256 0.769
4 Sm 0.256 0.769 0.256
5 Sm 0.744 0.231 0.744
6 Sm 0.744 0.744 0.231
7 Sm 0.762 0.762 0.762
8 Sm 0.769 0.256 0.256
9 Te 0.000 0.000 0.000
10 Te 0.000 0.500 0.500
11 Te 0.500 0.000 0.500
12 Te 0.500 0.500 0.000
13 Pt 0.000 0.000 0.500
14 Pt 0.000 0.500 0.000
15 Pt 0.500 0.000 0.000
16 Au 0.500 0.500 0.500



# 3
# SmTmPtAu
Calculated X-ray powder pattern, Cu Kα (λ = 1.5418 Å). Input: a structure optimized by DFT (PBE).
Kinematic intensities with the Lorentz-polarization factor, no thermal factor.

Top 10 peaks for 2θ from 10° to 80°, in order of falling intensity:
- 31.7 deg, rel. 100
- 39.8 deg, rel. 83
- 39.0 deg, rel. 36
- 33.4 deg, rel. 31
- 63.5 deg, rel. 30
- 38.8 deg, rel. 25
- 79.2 deg, rel. 21
- 48.1 deg, rel. 20
- 52.3 deg, rel. 18
- 71.1 deg, rel. 15

Structure:
abc: 4.622 5.685 5.685
angles: 38.89 90.00 90.00
Positions (direct):
1 Sm 0.000 0.000 0.000
2 Tm 0.500 0.276 0.276
3 Pt 0.000 0.729 0.729
4 Au 0.500 0.554 0.554



# 4
# Sr5Pt2Au
Calculated X-ray powder pattern, Cu Kα (λ = 1.5418 Å). Input: a structure optimized by DFT (PBE).
Kinematic intensities with the Lorentz-polarization factor, no thermal factor.

Top 10 peaks for 2θ from 10° to 80°, in order of falling intensity:
- 30.1 deg, rel. 100
- 34.7 deg, rel. 60
- 19.3 deg, rel. 51
- 32.1 deg, rel. 39
- 38.5 deg, rel. 31
- 11.6 deg, rel. 24
- 60.4 deg, rel. 22
- 62.9 deg, rel. 17
- 42.3 deg, rel. 17
- 40.2 deg, rel. 16

Structure:
abc: 9.552 9.552 9.552
angles: 129.28 129.28 74.56
Positions (direct):
1 Sr 0.000 0.000 0.000
2 Sr 0.034 0.534 0.841
3 Sr 0.194 0.034 0.500
4 Sr 0.306 0.806 0.841
5 Sr 0.466 0.306 0.500
6 Sr 0.500 0.500 0.000
7 Sr 0.534 0.694 0.500
8 Sr 0.694 0.194 0.159
9 Sr 0.806 0.966 0.500
10 Sr 0.966 0.466 0.159
11 Pt 0.125 0.375 0.500
12 Pt 0.375 0.875 0.251
13 Pt 0.625 0.125 0.749
14 Pt 0.875 0.625 0.500
15 Au 0.250 0.250 0.000
16 Au 0.750 0.750 0.000



# 5
# Sr2Pt3Au4
Calculated X-ray powder pattern, Cu Kα (λ = 1.5418 Å). Input: a structure optimized by DFT (PBE).
Kinematic intensities with the Lorentz-polarization factor, no thermal factor.

Top 10 peaks for 2θ from 10° to 80°, in order of falling intensity:
- 37.8 deg, rel. 100
- 39.8 deg, rel. 41
- 38.3 deg, rel. 36
- 19.6 deg, rel. 27
- 61.4 deg, rel. 24
- 37.0 deg, rel. 24
- 65.8 deg, rel. 23
- 39.9 deg, rel. 21
- 34.8 deg, rel. 19
- 18.6 deg, rel. 18

Structure:
abc: 8.517 7.580 5.513
angles: 79.45 61.03 39.52
Positions (direct):
1 Sr 0.128 0.128 0.872
2 Sr 0.872 0.872 0.128
3 Pt 0.000 0.000 0.500
4 Pt 0.500 0.500 0.000
5 Pt 0.500 0.500 0.500
6 Au 0.164 0.496 0.504
7 Au 0.496 0.164 0.836
8 Au 0.504 0.836 0.164
9 Au 0.836 0.504 0.496



# 6
# Sr2Zn6PtAu
Calculated X-ray powder pattern, Cu Kα (λ = 1.5418 Å). Input: a structure optimized by DFT (PBE).
Kinematic intensities with the Lorentz-polarization factor, no thermal factor.

Top 10 peaks for 2θ from 10° to 80°, in order of falling intensity:
- 25.6 deg, rel. 100
- 18.0 deg, rel. 80
- 36.4 deg, rel. 74
- 52.5 deg, rel. 64
- 45.0 deg, rel. 37
- 36.5 deg, rel. 37
- 40.9 deg, rel. 31
- 65.6 deg, rel. 26
- 55.9 deg, rel. 14
- 59.2 deg, rel. 14

Structure:
abc: 6.966 6.966 6.960
angles: 119.87 119.87 90.18
Positions (direct):
1 Sr 0.250 0.750 0.000
2 Sr 0.750 0.250 0.000
3 Zn 0.247 0.247 0.499
4 Zn 0.247 0.247 0.995
5 Zn 0.247 0.753 0.500
6 Zn 0.753 0.247 0.500
7 Zn 0.753 0.753 0.005
8 Zn 0.753 0.753 0.501
9 Pt 0.000 0.000 0.500
10 Au 0.500 0.500 0.500



# 7
# Tb2Pt4Au
Calculated X-ray powder pattern, Cu Kα (λ = 1.5418 Å). Input: a structure optimized by DFT (PBE).
Kinematic intensities with the Lorentz-polarization factor, no thermal factor.

Top 10 peaks for 2θ from 10° to 80°, in order of falling intensity:
- 37.3 deg, rel. 100
- 45.2 deg, rel. 70
- 33.1 deg, rel. 55
- 43.6 deg, rel. 52
- 61.6 deg, rel. 40
- 39.5 deg, rel. 37
- 33.2 deg, rel. 32
- 31.5 deg, rel. 30
- 78.2 deg, rel. 24
- 65.8 deg, rel. 23

Structure:
abc: 9.556 9.556 9.556
angles: 155.77 155.77 34.54
Positions (direct):
1 Tb 0.117 0.117 0.000
2 Tb 0.883 0.883 0.000
3 Pt 0.250 0.750 0.500
4 Pt 0.356 0.356 0.000
5 Pt 0.644 0.644 0.000
6 Pt 0.750 0.250 0.500
7 Au 0.500 0.500 0.000



# 8
# Tb3Pt3Au2
Calculated X-ray powder pattern, Cu Kα (λ = 1.5418 Å). Input: a structure optimized by DFT (PBE).
Kinematic intensities with the Lorentz-polarization factor, no thermal factor.

Top 10 peaks for 2θ from 10° to 80°, in order of falling intensity:
- 36.4 deg, rel. 100
- 37.8 deg, rel. 78
- 12.0 deg, rel. 28
- 66.5 deg, rel. 28
- 53.6 deg, rel. 27
- 77.1 deg, rel. 23
- 48.8 deg, rel. 16
- 65.6 deg, rel. 16
- 31.3 deg, rel. 11
- 35.7 deg, rel. 9

Structure:
abc: 8.541 8.541 5.723
angles: 90.00 90.00 120.00
Positions (direct):
1 Tb 0.000 0.311 0.250
2 Tb 0.000 0.689 0.750
3 Tb 0.311 0.000 0.250
4 Tb 0.311 0.311 0.750
5 Tb 0.689 0.000 0.750
6 Tb 0.689 0.689 0.250
7 Pt 0.000 0.354 0.750
8 Pt 0.000 0.646 0.250
9 Pt 0.354 0.000 0.750
10 Pt 0.354 0.354 0.250
11 Pt 0.646 0.000 0.250
12 Pt 0.646 0.646 0.750
13 Au 0.333 0.667 0.000
14 Au 0.333 0.667 0.500
15 Au 0.667 0.333 0.000
16 Au 0.667 0.333 0.500